Theoretical powder diffraction line list
Compound: BaSrCoCu2S2O2
Radiation: Cu Kα (λ = 1.5418 Å)
Structure: a crystal structure in the Materials Project, relaxed with GGA+U

Cell and atoms:
```
BaSrCoCu2S2O2
1.0
-1.9871 1.9871 9.6291
1.9871 -1.9871 9.6291
1.9871 1.9871 -9.6291
Ba Sr Co Cu S O
1 1 1 2 2 2
Direct
0.0000 0.0000 0.0000 Ba
0.1906 0.1906 0.0000 Sr
0.6019 0.6019 0.0000 Co
0.3449 0.8449 0.5000 Cu
0.8449 0.3449 0.5000 Cu
0.4161 0.4161 0.0000 S
0.7719 0.7719 0.0000 S
0.1023 0.6023 0.5000 O
0.6023 0.1023 0.5000 O
```

Top 12 peaks for 2θ = 10–80°, in order of rising 2θ:
Position (°2θ), d/Å, I_rel
22.85, 3.892, 19
27.79, 3.210, 12
31.84, 2.810, 15
32.37, 2.766, 100
33.21, 2.698, 38
37.04, 2.427, 52
39.85, 2.262, 15
45.66, 1.987, 46
57.07, 1.614, 37
58.06, 1.589, 25
66.55, 1.405, 14
76.28, 1.248, 12